Structure and simulated X-ray diffraction stick pattern of Er2C2S (a DFT-relaxed cell (GGA-PBE, Alexandria); Cu Ka).

Cell lengths 7.111, 7.111, 6.645 Å; angles 104.76, 104.76, 31.02 degrees
Fractional coordinates of all 10 atoms:
Er 0.079 0.653 0.842
Er 0.347 0.921 0.658
Er 0.653 0.079 0.342
Er 0.921 0.347 0.158
C 0.126 0.439 0.463
C 0.439 0.126 0.963
C 0.561 0.874 0.037
C 0.874 0.561 0.537
S 0.275 0.725 0.250
S 0.725 0.275 0.750

Top 8 peaks for 2θ from 10° to 90°, by intensity:
2θ = 31.8°, 2.814 Å, rel. 100
2θ = 29.0°, 3.079 Å, rel. 62
2θ = 27.0°, 3.304 Å, rel. 41
2θ = 27.5°, 3.239 Å, rel. 38
2θ = 34.2°, 2.624 Å, rel. 35
2θ = 47.0°, 1.932 Å, rel. 27
2θ = 47.7°, 1.906 Å, rel. 24
2θ = 43.3°, 2.092 Å, rel. 21


Structure and simulated X-ray diffraction stick pattern of Ba2YbCu4O8 (a DFT-relaxed cell (GGA-PBE, Alexandria); Cu Ka).

Cell lengths 13.974, 13.974, 3.883 Å; angles 90.00, 90.00, 164.04 degrees
Fractional coordinates of all 15 atoms:
Ba 0.134 0.866 0.000
Ba 0.866 0.134 0.000
Yb 0.000 0.000 0.000
Cu 0.287 0.713 0.500
Cu 0.439 0.561 0.500
Cu 0.561 0.439 0.500
Cu 0.713 0.287 0.500
O 0.053 0.947 0.500
O 0.218 0.782 0.500
O 0.353 0.647 0.500
O 0.447 0.553 0.000
O 0.553 0.447 0.000
O 0.647 0.353 0.500
O 0.782 0.218 0.500
O 0.947 0.053 0.500

Top 8 peaks for 2θ from 10° to 90°, by intensity:
2θ = 32.8°, 2.731 Å, rel. 100
2θ = 32.3°, 2.769 Å, rel. 95
2θ = 34.7°, 2.583 Å, rel. 66
2θ = 46.8°, 1.940 Å, rel. 61
2θ = 30.1°, 2.970 Å, rel. 41
2θ = 58.0°, 1.590 Å, rel. 36
2θ = 60.5°, 1.531 Å, rel. 28
2θ = 59.6°, 1.551 Å, rel. 27


Structure and simulated X-ray diffraction stick pattern of Tb3Dy12Er (a DFT-relaxed cell (GGA-PBE, Alexandria); Cu Ka).

Cell lengths 5.002, 5.002, 19.985 Å; angles 90.00, 90.00, 90.00 degrees
Fractional coordinates of all 16 atoms:
Tb 0.000 0.000 0.000
Tb 0.000 0.000 0.250
Tb 0.000 0.000 0.750
Dy 0.000 0.500 0.125
Dy 0.000 0.500 0.376
Dy 0.000 0.500 0.624
Dy 0.000 0.500 0.875
Dy 0.500 0.000 0.125
Dy 0.500 0.000 0.376
Dy 0.500 0.000 0.624
Dy 0.500 0.000 0.875
Dy 0.500 0.500 0.000
Dy 0.500 0.500 0.251
Dy 0.500 0.500 0.500
Dy 0.500 0.500 0.749
Er 0.000 0.000 0.500

Top 8 peaks for 2θ from 10° to 90°, by intensity:
2θ = 31.0°, 2.887 Å, rel. 100
2θ = 35.9°, 2.500 Å, rel. 51
2θ = 61.5°, 1.508 Å, rel. 43
2θ = 51.7°, 1.768 Å, rel. 36
2θ = 84.5°, 1.147 Å, rel. 18
2θ = 87.2°, 1.118 Å, rel. 17
2θ = 64.6°, 1.443 Å, rel. 12
2θ = 76.2°, 1.250 Å, rel. 6


Structure and simulated X-ray diffraction stick pattern of La2PPd6 (a DFT-relaxed cell (GGA-PBE, Alexandria); Cu Ka).

Cell lengths 6.605, 6.605, 6.605 Å; angles 52.92, 52.92, 52.92 degrees
Fractional coordinates of all 9 atoms:
La 0.234 0.234 0.234
La 0.766 0.766 0.766
P 0.500 0.500 0.500
Pd 0.231 0.231 0.741
Pd 0.231 0.741 0.231
Pd 0.259 0.769 0.769
Pd 0.741 0.231 0.231
Pd 0.769 0.259 0.769
Pd 0.769 0.769 0.259

Top 8 peaks for 2θ from 10° to 90°, by intensity:
2θ = 36.8°, 2.441 Å, rel. 100
2θ = 41.3°, 2.186 Å, rel. 73
2θ = 31.6°, 2.831 Å, rel. 42
2θ = 63.2°, 1.472 Å, rel. 24
2θ = 72.4°, 1.306 Å, rel. 20
2θ = 56.4°, 1.632 Å, rel. 17
2θ = 78.3°, 1.221 Å, rel. 14
2θ = 41.2°, 2.192 Å, rel. 12


Structure and simulated X-ray diffraction stick pattern of BC11 (a DFT-relaxed cell (GGA-PBE, Alexandria); Cu Ka).

Cell lengths 2.539, 2.539, 12.583 Å; angles 90.00, 90.00, 120.00 degrees
Fractional coordinates of all 12 atoms:
B 0.000 0.000 0.000
C 0.000 0.000 0.379
C 0.000 0.000 0.503
C 0.000 0.000 0.871
C 0.333 0.667 0.053
C 0.333 0.667 0.174
C 0.333 0.667 0.543
C 0.333 0.667 0.667
C 0.667 0.333 0.215
C 0.667 0.333 0.339
C 0.667 0.333 0.707
C 0.667 0.333 0.832

Top 8 peaks for 2θ from 10° to 90°, by intensity:
2θ = 43.6°, 2.076 Å, rel. 100
2θ = 43.1°, 2.097 Å, rel. 33
2θ = 74.8°, 1.269 Å, rel. 26
2θ = 74.1°, 1.279 Å, rel. 25
2θ = 89.8°, 1.092 Å, rel. 8
2θ = 14.1°, 6.292 Å, rel. 2
2θ = 21.2°, 4.194 Å, rel. 1
2θ = 81.6°, 1.180 Å, rel. 1


Structure and simulated X-ray diffraction stick pattern of NaAl4Cd (a DFT-relaxed cell (GGA-PBE, Alexandria); Cu Ka).

Cell lengths 5.563, 5.563, 5.563 Å; angles 60.00, 60.00, 60.00 degrees
Fractional coordinates of all 6 atoms:
Na 0.000 0.000 0.000
Al 0.124 0.625 0.625
Al 0.625 0.124 0.625
Al 0.625 0.625 0.124
Al 0.625 0.625 0.625
Cd 0.250 0.250 0.250

Top 8 peaks for 2θ from 10° to 90°, by intensity:
2θ = 37.9°, 2.372 Å, rel. 100
2θ = 32.2°, 2.782 Å, rel. 56
2θ = 19.5°, 4.542 Å, rel. 38
2θ = 61.2°, 1.514 Å, rel. 31
2θ = 22.6°, 3.934 Å, rel. 29
2θ = 39.7°, 2.271 Å, rel. 21
2θ = 57.4°, 1.606 Å, rel. 20
2θ = 67.3°, 1.391 Å, rel. 19


Structure and simulated X-ray diffraction stick pattern of AcLuPdPb (a DFT-relaxed cell (GGA-PBE, Alexandria); Cu Ka).

Cell lengths 5.418, 5.418, 5.418 Å; angles 60.00, 60.00, 60.00 degrees
Fractional coordinates of all 4 atoms:
Ac 0.000 0.000 0.000
Lu 0.500 0.500 0.500
Pd 0.250 0.250 0.250
Pb 0.750 0.750 0.750

Top 8 peaks for 2θ from 10° to 90°, by intensity:
2θ = 33.1°, 2.709 Å, rel. 100
2θ = 59.1°, 1.564 Å, rel. 39
2θ = 47.5°, 1.916 Å, rel. 18
2θ = 79.0°, 1.212 Å, rel. 17
2θ = 69.4°, 1.355 Å, rel. 12
2θ = 20.1°, 4.424 Å, rel. 5
2θ = 88.4°, 1.106 Å, rel. 4
2θ = 39.0°, 2.310 Å, rel. 3


Structure and simulated X-ray diffraction stick pattern of NdYNb (a DFT-relaxed cell (GGA-PBE, Alexandria); Cu Ka).

Cell lengths 3.541, 3.541, 13.488 Å; angles 90.00, 90.00, 90.00 degrees
Fractional coordinates of all 6 atoms:
Nd 0.250 0.250 0.098
Nd 0.750 0.750 0.902
Y 0.250 0.250 0.697
Y 0.750 0.750 0.303
Nb 0.250 0.250 0.454
Nb 0.750 0.750 0.546

Top 8 peaks for 2θ from 10° to 90°, by intensity:
2θ = 32.2°, 2.782 Å, rel. 100
2θ = 35.9°, 2.504 Å, rel. 60
2θ = 28.5°, 3.135 Å, rel. 40
2θ = 62.1°, 1.494 Å, rel. 29
2θ = 49.7°, 1.835 Å, rel. 26
2θ = 51.6°, 1.771 Å, rel. 21
2θ = 33.2°, 2.698 Å, rel. 20
2θ = 60.9°, 1.522 Å, rel. 15


Structure and simulated X-ray diffraction stick pattern of K5Li2Br6 (a DFT-relaxed cell (GGA-PBE, Alexandria); Cu Ka).

Cell lengths 13.193, 16.763, 4.490 Å; angles 90.00, 90.00, 90.00 degrees
Fractional coordinates of all 26 atoms:
K 0.000 0.000 0.000
K 0.140 0.466 0.000
K 0.165 0.732 0.000
K 0.335 0.232 0.000
K 0.360 0.966 0.000
K 0.500 0.500 0.000
K 0.640 0.034 0.000
K 0.665 0.768 0.000
K 0.835 0.268 0.000
K 0.860 0.534 0.000
Li 0.087 0.279 0.500
Li 0.413 0.779 0.500
Li 0.587 0.221 0.500
Li 0.913 0.721 0.500
Br 0.055 0.611 0.500
Br 0.077 0.203 0.000
Br 0.246 0.859 0.500
Br 0.254 0.359 0.500
Br 0.423 0.703 0.000
Br 0.445 0.111 0.500
Br 0.555 0.889 0.500
Br 0.577 0.297 0.000
Br 0.746 0.641 0.500
Br 0.754 0.141 0.500
Br 0.923 0.797 0.000
Br 0.945 0.389 0.500

Top 8 peaks for 2θ from 10° to 90°, by intensity:
2θ = 29.1°, 3.064 Å, rel. 100
2θ = 22.8°, 3.894 Å, rel. 90
2θ = 28.9°, 3.089 Å, rel. 41
2θ = 40.2°, 2.245 Å, rel. 40
2θ = 34.2°, 2.625 Å, rel. 39
2θ = 29.9°, 2.985 Å, rel. 39
2θ = 43.3°, 2.088 Å, rel. 36
2θ = 46.7°, 1.946 Å, rel. 34


Structure and simulated X-ray diffraction stick pattern of NaDyTl3 (a DFT-relaxed cell (GGA-PBE, Alexandria); Cu Ka).

Cell lengths 9.217, 9.217, 5.824 Å; angles 108.33, 108.33, 40.49 degrees
Fractional coordinates of all 10 atoms:
Na 0.156 0.156 0.409
Na 0.844 0.844 0.591
Dy 0.437 0.437 0.186
Dy 0.563 0.563 0.814
Tl 0.044 0.044 0.795
Tl 0.243 0.243 0.996
Tl 0.363 0.363 0.613
Tl 0.637 0.637 0.387
Tl 0.757 0.757 0.004
Tl 0.956 0.956 0.205

Top 8 peaks for 2θ from 10° to 90°, by intensity:
2θ = 31.5°, 2.844 Å, rel. 100
2θ = 42.6°, 2.123 Å, rel. 88
2θ = 28.0°, 3.190 Å, rel. 75
2θ = 30.7°, 2.912 Å, rel. 59
2θ = 42.0°, 2.151 Å, rel. 51
2θ = 23.4°, 3.804 Å, rel. 25
2θ = 67.3°, 1.391 Å, rel. 23
2θ = 16.2°, 5.484 Å, rel. 18


Structure and simulated X-ray diffraction stick pattern of AcSn6Se8 (a DFT-relaxed cell (GGA-PBE, Alexandria); Cu Ka).

Cell lengths 10.626, 10.626, 4.574 Å; angles 90.00, 90.00, 120.00 degrees
Fractional coordinates of all 15 atoms:
Ac 0.000 0.000 0.000
Sn 0.125 0.452 0.168
Sn 0.327 0.875 0.168
Sn 0.452 0.327 0.832
Sn 0.548 0.673 0.168
Sn 0.673 0.125 0.832
Sn 0.875 0.548 0.832
Se 0.033 0.744 0.276
Se 0.256 0.289 0.276
Se 0.289 0.033 0.724
Se 0.333 0.667 0.771
Se 0.667 0.333 0.229
Se 0.711 0.967 0.276
Se 0.744 0.711 0.724
Se 0.967 0.256 0.724

Top 8 peaks for 2θ from 10° to 90°, by intensity:
2θ = 32.3°, 2.769 Å, rel. 100
2θ = 25.6°, 3.476 Å, rel. 47
2θ = 27.5°, 3.244 Å, rel. 40
2θ = 45.2°, 2.008 Å, rel. 29
2θ = 47.4°, 1.917 Å, rel. 26
2θ = 35.2°, 2.552 Å, rel. 22
2θ = 29.1°, 3.067 Å, rel. 21
2θ = 39.2°, 2.297 Å, rel. 20


Structure and simulated X-ray diffraction stick pattern of Ag4SbSe4 (a DFT-relaxed cell (GGA-PBE, Alexandria); Cu Ka).

Cell lengths 7.747, 7.747, 7.747 Å; angles 133.29, 133.29, 68.20 degrees
Fractional coordinates of all 9 atoms:
Ag 0.000 0.500 0.500
Ag 0.235 0.235 0.000
Ag 0.500 0.000 0.500
Ag 0.765 0.765 0.000
Sb 0.000 0.000 0.000
Se 0.138 0.606 0.000
Se 0.394 0.394 0.531
Se 0.606 0.138 0.000
Se 0.862 0.862 0.469

Top 8 peaks for 2θ from 10° to 90°, by intensity:
2θ = 24.8°, 3.597 Å, rel. 100
2θ = 40.7°, 2.218 Å, rel. 96
2θ = 41.6°, 2.172 Å, rel. 46
2θ = 49.0°, 1.859 Å, rel. 29
2θ = 75.3°, 1.263 Å, rel. 28
2θ = 16.0°, 5.541 Å, rel. 20
2θ = 47.4°, 1.918 Å, rel. 15
2θ = 60.3°, 1.536 Å, rel. 14